Ba3Sb2Se7: theoretical PXRD pattern (Cu Ka), based on a structure optimized by DFT (GGA-PBE).
Neutral-atom scattering factors, no anomalous dispersion.

Crystal structure
```
data_Ba3Sb2Se7
_cell_length_a 19.247
_cell_length_b 12.942
_cell_length_c 13.820
_cell_angle_alpha 90.00
_cell_angle_beta 109.99
_cell_angle_gamma 90.00
_symmetry_space_group_name_H-M 'C 1 2/c 1'
_symmetry_Int_Tables_number 15
_symmetry_space_group_name_Hall '-C 2yc'
loop_
_atom_site_label
_atom_site_type_symbol
_atom_site_fract_x
_atom_site_fract_y
_atom_site_fract_z
Ba1 Ba 0.099 0.006 0.172
Ba2 Ba 0.102 0.496 0.173
Ba3 Ba 0.133 0.250 0.445
Sb1 Sb 0.082 0.268 0.903
Sb2 Sb 0.236 0.028 0.993
Se1 Se 0.048 0.253 0.183
Se2 Se 0.058 0.250 0.636
Se3 Se 0.083 0.476 0.910
Se4 Se 0.086 0.013 0.914
Se5 Se 0.146 0.251 0.111
Se6 Se 0.247 0.104 0.639
Se7 Se 0.250 0.106 0.361
```

Most intense lines, 15° ≤ 2θ ≤ 90°, by angle:
h k l	2θ (°)	I (rel.)
4 2 -2	24.1	343
2 0 -4	25.8	674
0 4 0	27.5	1000
6 0 0	29.6	476
4 4 0	34.1	396
2 4 -4	38.1	857